# Tb2ZnNi7
Calculated powder XRD pattern, copper Kα. Input: DFT lattice parameters and positions (PBE).
Neutral-atom scattering factors, no anomalous dispersion.

Cell: 3.8028 3.8028 10.3673 Å, 90.00 90.00 90.00°
Sites, in units of the cell vectors:
Tb1 0.0000 0.5000 0.2367
Tb2 0.5000 0.0000 0.7633
Zn1 0.0000 0.0000 0.5000
Ni1 0.0000 0.0000 0.0000
Ni2 0.0000 0.5000 0.6439
Ni3 0.0000 0.5000 0.8629
Ni4 0.5000 0.0000 0.1371
Ni5 0.5000 0.0000 0.3561
Ni6 0.5000 0.5000 0.0000
Ni7 0.5000 0.5000 0.5000

Peak list (12 most intense, 2θ from 10° to 90°, sorted by position)
24.9°, d = 3.570 Å, I = 9; 33.3°, d = 2.689 Å, I = 17; 34.6°, d = 2.592 Å, I = 8; 35.1°, d = 2.558 Å, I = 57; 37.7°, d = 2.387 Å, I = 100; 47.8°, d = 1.901 Å, I = 45; 50.1°, d = 1.820 Å, I = 32; 60.7°, d = 1.526 Å, I = 23; 64.1°, d = 1.454 Å, I = 8; 70.0°, d = 1.344 Å, I = 14; 71.8°, d = 1.315 Å, I = 21; 82.3°, d = 1.171 Å, I = 19

---

# Ga2SO2
Calculated powder XRD pattern, copper Kα. Input: DFT lattice parameters and positions (PBE).
Neutral-atom scattering factors, no anomalous dispersion.

Cell: 6.2610 6.2610 6.2610 Å, 119.84 119.84 90.27°
Sites, in units of the cell vectors:
Ga1 0.2234 0.0000 0.2234
Ga2 0.7500 0.0266 0.2766
Ga3 0.7500 0.4734 0.7234
Ga4 0.7766 0.0000 0.7766
S1 0.3408 0.8408 0.5000
S2 0.5908 0.5908 0.0000
O1 0.4997 0.2071 0.2926
O2 0.9146 0.2071 0.7074
O3 0.9571 0.1646 0.2074
O4 0.9571 0.7497 0.7926

Peak list (12 most intense, 2θ from 10° to 90°, sorted by position)
17.3°, d = 5.116 Å, I = 100; 28.5°, d = 3.132 Å, I = 18; 33.5°, d = 2.675 Å, I = 40; 33.6°, d = 2.666 Å, I = 15; 35.1°, d = 2.558 Å, I = 39; 40.7°, d = 2.219 Å, I = 17; 44.6°, d = 2.033 Å, I = 24; 53.7°, d = 1.708 Å, I = 21; 53.9°, d = 1.701 Å, I = 10; 58.9°, d = 1.569 Å, I = 10; 59.0°, d = 1.565 Å, I = 19; 61.9°, d = 1.499 Å, I = 12

---

# Sm3CoBi
Calculated powder XRD pattern, copper Kα. Input: DFT lattice parameters and positions (PBE).
Neutral-atom scattering factors, no anomalous dispersion.

Cell: 11.6330 11.6330 5.1579 Å, 90.00 90.00 154.40°
Sites, in units of the cell vectors:
Sm1 0.0651 0.9349 0.7500
Sm2 0.3147 0.6853 0.2500
Sm3 0.4312 0.5688 0.7500
Sm4 0.5688 0.4312 0.2500
Sm5 0.6853 0.3147 0.7500
Sm6 0.9349 0.0651 0.2500
Co1 0.4414 0.5586 0.2500
Co2 0.5586 0.4414 0.7500
Bi1 0.1712 0.8288 0.2500
Bi2 0.8288 0.1712 0.7500

Peak list (12 most intense, 2θ from 10° to 90°, sorted by position)
24.7°, d = 3.600 Å, I = 31; 27.2°, d = 3.284 Å, I = 46; 31.5°, d = 2.840 Å, I = 100; 34.8°, d = 2.578 Å, I = 70; 37.1°, d = 2.422 Å, I = 22; 47.7°, d = 1.908 Å, I = 46; 50.0°, d = 1.823 Å, I = 25; 57.8°, d = 1.594 Å, I = 11; 58.6°, d = 1.574 Å, I = 12; 60.3°, d = 1.534 Å, I = 43; 80.6°, d = 1.191 Å, I = 10; 83.9°, d = 1.153 Å, I = 11

---

# OsCl2F3
Calculated powder XRD pattern, copper Kα. Input: DFT lattice parameters and positions (PBE).
Neutral-atom scattering factors, no anomalous dispersion.

Cell: 6.1334 7.1266 7.4410 Å, 68.24 69.89 79.30°
Sites, in units of the cell vectors:
Os1 0.1176 0.1947 0.2988
Os2 0.8824 0.8053 0.7012
Cl1 0.2673 0.4678 0.2656
Cl2 0.4591 0.0123 0.2481
Cl3 0.5409 0.9877 0.7519
Cl4 0.7327 0.5322 0.7344
F1 0.0544 0.0765 0.6084
F2 0.1282 0.2662 0.0265
F3 0.1933 0.6831 0.6440
F4 0.8067 0.3169 0.3560
F5 0.8718 0.7338 0.9735
F6 0.9456 0.9235 0.3916

Peak list (12 most intense, 2θ from 10° to 90°, sorted by position)
13.4°, d = 6.597 Å, I = 21; 15.5°, d = 5.721 Å, I = 100; 17.1°, d = 5.171 Å, I = 47; 18.1°, d = 4.907 Å, I = 25; 21.2°, d = 4.199 Å, I = 17; 22.0°, d = 4.041 Å, I = 18; 25.1°, d = 3.549 Å, I = 16; 25.2°, d = 3.527 Å, I = 10; 27.1°, d = 3.296 Å, I = 22; 30.3°, d = 2.949 Å, I = 17; 34.9°, d = 2.573 Å, I = 16; 39.0°, d = 2.310 Å, I = 11

---

# Ac4PrCo2
Calculated powder XRD pattern, copper Kα. Input: DFT lattice parameters and positions (PBE).
Neutral-atom scattering factors, no anomalous dispersion.

Cell: 7.4743 7.2170 9.2317 Å, 90.00 112.81 90.00°
Sites, in units of the cell vectors:
Ac1 0.1730 0.2500 0.0004
Ac2 0.2140 0.5009 0.4214
Ac3 0.2140 0.9991 0.4214
Ac4 0.2743 0.7500 0.7943
Ac5 0.7257 0.2500 0.2057
Ac6 0.7860 0.0009 0.5786
Ac7 0.7860 0.4991 0.5786
Ac8 0.8270 0.7500 0.9996
Pr1 0.4967 0.7500 0.2203
Pr2 0.5033 0.2500 0.7797
Co1 0.1257 0.2500 0.6560
Co2 0.4743 0.2500 0.3508
Co3 0.5257 0.7500 0.6492
Co4 0.8743 0.7500 0.3440

Peak list (12 most intense, 2θ from 10° to 90°, sorted by position)
25.9°, d = 3.445 Å, I = 25; 26.8°, d = 3.321 Å, I = 100; 28.6°, d = 3.120 Å, I = 40; 29.0°, d = 3.076 Å, I = 52; 31.2°, d = 2.864 Å, I = 28; 31.6°, d = 2.830 Å, I = 72; 31.8°, d = 2.810 Å, I = 25; 34.6°, d = 2.596 Å, I = 36; 39.8°, d = 2.265 Å, I = 17; 50.6°, d = 1.804 Å, I = 26; 51.7°, d = 1.768 Å, I = 17; 52.5°, d = 1.744 Å, I = 19

---

# HgSbAs
Calculated powder XRD pattern, copper Kα. Input: DFT lattice parameters and positions (PBE).
Neutral-atom scattering factors, no anomalous dispersion.

Cell: 7.9686 7.9686 7.9686 Å, 28.11 28.11 28.11°
Sites, in units of the cell vectors:
Hg1 0.0000 0.0000 0.0000
Sb1 0.5298 0.5298 0.5298
As1 0.7968 0.7968 0.7968

Peak list (12 most intense, 2θ from 10° to 90°, sorted by position)
23.3°, d = 3.824 Å, I = 39; 26.9°, d = 3.317 Å, I = 23; 27.7°, d = 3.217 Å, I = 65; 30.9°, d = 2.894 Å, I = 100; 33.1°, d = 2.707 Å, I = 36; 41.4°, d = 2.179 Å, I = 20; 47.0°, d = 1.935 Å, I = 40; 51.6°, d = 1.771 Å, I = 20; 53.0°, d = 1.727 Å, I = 26; 57.3°, d = 1.609 Å, I = 17; 60.0°, d = 1.541 Å, I = 16; 79.9°, d = 1.200 Å, I = 17

---

# Ac2ZnPd2
Calculated powder XRD pattern, copper Kα. Input: DFT lattice parameters and positions (PBE).
Neutral-atom scattering factors, no anomalous dispersion.

Cell: 7.7064 7.7064 7.7064 Å, 124.65 76.87 131.18°
Sites, in units of the cell vectors:
Ac1 0.1423 0.1786 0.3209
Ac2 0.3577 0.6786 0.0363
Ac3 0.6423 0.3214 0.9637
Ac4 0.8577 0.8214 0.6791
Zn1 0.2500 0.7500 0.5000
Zn2 0.7500 0.2500 0.5000
Pd1 0.1108 0.7340 0.8449
Pd2 0.3892 0.2340 0.6232
Pd3 0.6108 0.7660 0.3768
Pd4 0.8892 0.2660 0.1551

Peak list (12 most intense, 2θ from 10° to 90°, sorted by position)
23.8°, d = 3.737 Å, I = 31; 24.9°, d = 3.579 Å, I = 42; 25.4°, d = 3.508 Å, I = 25; 28.0°, d = 3.185 Å, I = 62; 29.6°, d = 3.020 Å, I = 100; 35.2°, d = 2.549 Å, I = 24; 37.8°, d = 2.379 Å, I = 52; 39.0°, d = 2.307 Å, I = 41; 41.2°, d = 2.191 Å, I = 59; 47.6°, d = 1.910 Å, I = 21; 48.7°, d = 1.868 Å, I = 23; 53.1°, d = 1.725 Å, I = 23

---

# MgCd2Ga
Calculated powder XRD pattern, copper Kα. Input: DFT lattice parameters and positions (PBE).
Neutral-atom scattering factors, no anomalous dispersion.

Cell: 6.3920 6.3920 6.3920 Å, 101.91 101.91 125.96°
Sites, in units of the cell vectors:
Mg1 0.0000 0.0000 0.0000
Mg2 0.7500 0.2500 0.5000
Cd1 0.1472 0.6250 0.0222
Cd2 0.3750 0.3972 0.5222
Cd3 0.6028 0.1250 0.9778
Cd4 0.8750 0.8528 0.4778
Ga1 0.2500 0.7500 0.5000
Ga2 0.5000 0.5000 0.0000

Peak list (12 most intense, 2θ from 10° to 90°, sorted by position)
18.8°, d = 4.710 Å, I = 17; 22.1°, d = 4.027 Å, I = 37; 31.4°, d = 2.847 Å, I = 100; 34.7°, d = 2.587 Å, I = 92; 45.0°, d = 2.013 Å, I = 34; 47.5°, d = 1.915 Å, I = 69; 58.1°, d = 1.589 Å, I = 17; 67.5°, d = 1.387 Å, I = 20; 68.7°, d = 1.366 Å, I = 20; 74.5°, d = 1.273 Å, I = 12; 76.4°, d = 1.247 Å, I = 13; 86.0°, d = 1.130 Å, I = 19